Entry 1:
The following is a calculated powder XRD pattern of Ta4Mo3. It was derived from a cell relaxed with PBE, using Cu Kα, 1.54184 Å.

Peak list (8 most intense, 2θ from 10° to 90°, low angle first)
d (Å)  2theta  intensity
2.304  39.10  26
2.296  39.23  100
2.280  39.52  24
1.627  56.57  9
1.621  56.80  16
1.329  70.92  27
1.320  71.49  15
1.148  84.35  11

Cell and atoms:
```
Ta4Mo3
1.0
0.000 2.304 15.963
1.627 0.000 15.963
1.627 2.304 0.000
Ta Mo
4 3
Direct
0.000 0.000 0.000
0.141 0.141 0.859
0.425 0.425 0.575
0.849 0.849 0.151
0.279 0.279 0.721
0.570 0.570 0.430
0.712 0.712 0.288
```


Entry 2:
The following is a calculated powder XRD pattern of TaMo2. It was derived from a cell relaxed with PBE, using Cu Kα, 1.54184 Å.

Peak list (8 most intense, 2θ from 10° to 90°, low angle first)
d (Å)  2theta  intensity
2.345  38.39  44
2.309  39.01  100
2.286  39.42  49
2.251  40.06  33
2.024  44.77  22
1.911  47.58  24
1.324  71.21  23
1.292  73.27  22

Cell and atoms:
```
TaMo2
1.0
2.731 0.000 0.000
0.000 8.025 0.000
0.000 0.000 4.571
Ta Mo
2 4
Direct
0.000 0.000 0.000
0.500 0.500 0.500
0.197 0.336 0.000
0.303 0.836 0.500
0.697 0.164 0.500
0.803 0.664 0.000
```


Entry 3:
The following is a calculated powder XRD pattern of Ta4Mo3. It was derived from a cell relaxed with PBE, using Cu Kα, 1.54184 Å.

Peak list (8 most intense, 2θ from 10° to 90°, low angle first)
d (Å)  2theta  intensity
2.301  39.15  100
2.281  39.51  49
1.642  56.01  8
1.613  57.11  17
1.332  70.70  17
1.321  71.42  34
1.151  84.14  11
1.140  85.06  6

Cell and atoms:
```
Ta4Mo3
1.0
3.226 0.000 0.000
0.000 3.226 0.000
0.000 0.000 22.984
Ta Mo
8 6
Direct
0.000 0.000 0.000
0.000 0.000 0.139
0.000 0.000 0.424
0.000 0.000 0.849
0.500 0.500 0.349
0.500 0.500 0.500
0.500 0.500 0.639
0.500 0.500 0.924
0.000 0.000 0.278
0.000 0.000 0.569
0.000 0.000 0.712
0.500 0.500 0.069
0.500 0.500 0.212
0.500 0.500 0.778
```